Structure and computed PXRD pattern of Sr2TlGaH (DFT lattice parameters and positions (GGA-PBE); Cu Kα (weighted mean of Kα1 and Kα2)).
Lines closer than 0.1° are merged.

Cell and atoms:
Lattice parameters (Å, degrees): 5.485 5.485 4.261 90.00 90.00 90.00
Sites, in units of the cell vectors:
Sr1 0.000 0.500 0.000
Sr2 0.500 0.000 0.000
Tl1 0.000 0.000 0.500
Ga1 0.500 0.500 0.500
H1 0.500 0.500 0.000

Main lines, by angle (10° ≤ 2θ ≤ 90°):
2θ/deg  I_rel
16.16  18
26.49  12
31.18  100
32.65  45
42.47  18
46.85  16
54.55  23
57.35  38
65.05  14
89.10  11